Record 1
Starting from a DFT-relaxed cell (PBE+U, the Materials Project), the X-ray diffraction stick pattern of Gd2MgV2O8 was computed for Cu Kα (weighted mean of Kα1 and Kα2).

Crystal structure
Cell lengths 6.1454, 6.1454, 6.2867 Å; angles 105.98, 105.98, 115.86 degrees
Element x y z (fractional)
Gd 0.0000 0.0000 0.0000
Gd 0.7806 0.2194 0.5000
Mg 0.2948 0.7052 0.0000
V 0.2755 0.7245 0.5000
V 0.5572 0.4428 0.0000
O 0.0789 0.3595 0.3180
O 0.1221 0.7404 0.7114
O 0.1839 0.3224 0.8400
O 0.2596 0.8779 0.2886
O 0.5225 0.2626 0.1782
O 0.6405 0.9211 0.6820
O 0.6776 0.8161 0.1600
O 0.7374 0.4775 0.8218

Principal peaks in the range 10 to 90 degrees two-theta, by intensity:
23.8°, intensity 100
32.1°, intensity 47
18.0°, intensity 47
32.4°, intensity 33
47.8°, intensity 32
47.2°, intensity 31
38.6°, intensity 24
30.3°, intensity 17
48.7°, intensity 17
33.3°, intensity 16

=====

Record 2
Starting from a DFT-relaxed cell (PBE+U, the Materials Project), the X-ray diffraction stick pattern of Gd6MgWO12 was computed for Cu Kα (weighted mean of Kα1 and Kα2).

Crystal structure
Cell lengths 6.6635, 6.6635, 6.6635 Å; angles 93.14, 93.14, 93.14 degrees
Element x y z (fractional)
Gd 0.0639 0.7634 0.5794
Gd 0.2366 0.4206 0.9361
Gd 0.4206 0.9361 0.2366
Gd 0.5794 0.0639 0.7634
Gd 0.7634 0.5794 0.0639
Gd 0.9361 0.2366 0.4206
Mg 0.0000 0.0000 0.0000
W 0.5000 0.5000 0.5000
O 0.0424 0.6942 0.9104
O 0.0896 0.9576 0.3058
O 0.2007 0.4321 0.5748
O 0.3058 0.0896 0.9576
O 0.4252 0.7993 0.5679
O 0.4321 0.5748 0.2007
O 0.5679 0.4252 0.7993
O 0.5748 0.2007 0.4321
O 0.6942 0.9104 0.0424
O 0.7993 0.5679 0.4252
O 0.9104 0.0424 0.6942
O 0.9576 0.3058 0.0896

Principal peaks in the range 10 to 90 degrees two-theta, by intensity:
29.4°, intensity 100
32.7°, intensity 54
24.5°, intensity 48
43.8°, intensity 31
49.9°, intensity 25
56.3°, intensity 21
30.8°, intensity 16
60.9°, intensity 15
58.9°, intensity 13
26.8°, intensity 13